# 1
This entry pairs a crystal structure of AcSm6Dy2Er with its theoretical X-ray diffraction stick pattern. Radiation: copper Kα. Structure: a cell relaxed with PBE.
Neutral-atom scattering factors, no anomalous dispersion.

Principal peaks in the range 2θ from 5° to 70°, in order of rising 2θ:
2θ/deg, d_spacing, I_rel
27.8, 3.210, 37
28.0, 3.192, 27
30.1, 2.973, 51
30.3, 2.951, 100
30.5, 2.929, 40
31.0, 2.884, 33
31.7, 2.824, 23
33.6, 2.666, 36

a b c (Å): 9.3260 15.4312 9.6415
angles (deg): 90.00 95.42 90.00
Space group C2/c (No. 15)
Unique sites:
Ac  0.0000  0.0271  0.2500 [4 per cell]
Sm  0.0591  0.1875  0.9449 [8 per cell]
Sm  0.1020  0.3901  0.1171 [8 per cell]
Sm  0.2163  0.2266  0.3153 [8 per cell]
Dy  0.2390  0.4435  0.4523 [8 per cell]
Er  0.0000  0.4130  0.7500 [4 per cell]

# 2
This entry pairs a crystal structure of AcSm2Dy4Er with its theoretical X-ray diffraction stick pattern. Radiation: copper Kα. Structure: a cell relaxed with PBE.
Neutral-atom scattering factors, no anomalous dispersion.

Principal peaks in the range 2θ from 5° to 70°, in order of rising 2θ:
2θ/deg, d_spacing, I_rel
30.3, 2.950, 100
35.0, 2.564, 17
35.2, 2.551, 34
50.5, 1.808, 24
59.9, 1.545, 15
60.1, 1.540, 15
60.2, 1.538, 14
63.0, 1.475, 12

a b c (Å): 5.1075 5.1276 10.1926
angles (deg): 90.00 90.00 90.00
Space group Pmmm (No. 47)
Unique sites:
Ac  0.0000  0.0000  0.0000 [1 per cell]
Sm  0.0000  0.0000  0.5000 [1 per cell]
Sm  0.5000  0.5000  0.0000 [1 per cell]
Dy  0.0000  0.5000  0.2586 [2 per cell]
Dy  0.5000  0.0000  0.2584 [2 per cell]
Er  0.5000  0.5000  0.5000 [1 per cell]

# 3
This entry pairs a crystal structure of Ac2DyErTe5 with its theoretical X-ray diffraction stick pattern. Radiation: copper Kα. Structure: a cell relaxed with PBE.
Neutral-atom scattering factors, no anomalous dispersion.

Principal peaks in the range 2θ from 5° to 70°, in order of rising 2θ:
2θ/deg, d_spacing, I_rel
7.6, 11.628, 30
22.9, 3.878, 69
28.2, 3.165, 25
30.8, 2.907, 25
32.7, 2.742, 100
38.7, 2.326, 20
45.5, 1.995, 34
46.9, 1.939, 27

a b c (Å): 5.4842 5.4842 11.6279
angles (deg): 90.00 90.00 90.00
Space group P4/mmm (No. 123)
Unique sites:
Ac  0.0000  0.0000  0.2029 [2 per cell]
Dy  0.5000  0.5000  0.5000 [1 per cell]
Er  0.5000  0.5000  0.0000 [1 per cell]
Te  0.0000  0.0000  0.5000 [1 per cell]
Te  0.0000  0.5000  0.0000 [2 per cell]
Te  0.5000  0.5000  0.2548 [2 per cell]

# 4
This entry pairs a crystal structure of AcDy2Y6Er with its theoretical X-ray diffraction stick pattern. Radiation: copper Kα. Structure: a cell relaxed with PBE.
Neutral-atom scattering factors, no anomalous dispersion.

Principal peaks in the range 2θ from 5° to 70°, in order of rising 2θ:
2θ/deg, d_spacing, I_rel
11.6, 7.632, 26
28.1, 3.180, 46
28.3, 3.159, 32
30.3, 2.954, 33
30.5, 2.927, 100
30.8, 2.899, 33
31.3, 2.857, 34
34.0, 2.634, 28

a b c (Å): 9.2841 15.2649 9.5309
angles (deg): 90.00 95.10 90.00
Space group C2/c (No. 15)
Unique sites:
Ac  0.0000  0.0304  0.2500 [4 per cell]
Dy  0.2411  0.4440  0.4485 [8 per cell]
Y  0.0584  0.1870  0.9424 [8 per cell]
Y  0.1004  0.3885  0.1128 [8 per cell]
Y  0.2176  0.2273  0.3177 [8 per cell]
Er  0.0000  0.4133  0.7500 [4 per cell]

# 5
This entry pairs a crystal structure of Ac4EuDy with its theoretical X-ray diffraction stick pattern. Radiation: copper Kα. Structure: a cell relaxed with PBE.
Neutral-atom scattering factors, no anomalous dispersion.

Principal peaks in the range 2θ from 5° to 70°, in order of rising 2θ:
2θ/deg, d_spacing, I_rel
14.9, 5.936, 17
24.5, 3.635, 17
28.8, 3.100, 100
30.1, 2.968, 53
45.9, 1.979, 38
50.2, 1.818, 36
58.9, 1.568, 14
59.7, 1.550, 24

a b c (Å): 10.2818 10.2818 10.2818
angles (deg): 90.00 90.00 90.00
Space group F-43m (No. 216)
Unique sites:
Ac  0.1238  0.1238  0.1238 [16 per cell]
Eu  0.0000  0.0000  0.5000 [4 per cell]
Dy  0.2500  0.2500  0.7500 [4 per cell]

# 6
This entry pairs a crystal structure of AcEuDyPb with its theoretical X-ray diffraction stick pattern. Radiation: copper Kα. Structure: a cell relaxed with PBE.
Neutral-atom scattering factors, no anomalous dispersion.

Principal peaks in the range 2θ from 5° to 70°, in order of rising 2θ:
2θ/deg, d_spacing, I_rel
21.9, 4.056, 3
31.2, 2.868, 100
38.4, 2.342, 1
44.7, 2.028, 19
50.3, 1.814, 1
55.5, 1.656, 40
65.0, 1.434, 13
69.5, 1.352, 1

a b c (Å): 8.1116 8.1116 8.1116
angles (deg): 90.00 90.00 90.00
Space group F-43m (No. 216)
Unique sites:
Ac  0.0000  0.0000  0.0000 [4 per cell]
Eu  0.2500  0.2500  0.2500 [4 per cell]
Dy  0.2500  0.2500  0.7500 [4 per cell]
Pb  0.0000  0.0000  0.5000 [4 per cell]

# 7
This entry pairs a crystal structure of Na2AcDyF8 with its theoretical X-ray diffraction stick pattern. Radiation: copper Kα. Structure: a cell relaxed with PBE.
Neutral-atom scattering factors, no anomalous dispersion.

Principal peaks in the range 2θ from 5° to 70°, in order of rising 2θ:
2θ/deg, d_spacing, I_rel
17.5, 5.065, 92
27.3, 3.269, 100
28.4, 3.141, 26
31.6, 2.831, 20
36.3, 2.472, 28
43.0, 2.103, 28
45.3, 2.002, 68
53.7, 1.707, 47

a b c (Å): 5.6639 5.6639 11.3213
angles (deg): 90.00 90.00 90.00
Space group I-4m2 (No. 119)
Unique sites:
Na  0.0000  0.0000  0.0000 [2 per cell]
Na  0.0000  0.5000  0.2500 [2 per cell]
Ac  0.0000  0.0000  0.5000 [2 per cell]
Dy  0.0000  0.5000  0.7500 [2 per cell]
F  0.2353  0.2647  0.6314 [16 per cell]

# 8
This entry pairs a crystal structure of AcDyFe with its theoretical X-ray diffraction stick pattern. Radiation: copper Kα. Structure: a cell relaxed with PBE.
Neutral-atom scattering factors, no anomalous dispersion.

Principal peaks in the range 2θ from 5° to 70°, in order of rising 2θ:
2θ/deg, d_spacing, I_rel
27.0, 3.308, 53
27.7, 3.215, 95
28.6, 3.123, 100
30.1, 2.965, 69
31.0, 2.883, 58
34.7, 2.585, 44
39.0, 2.310, 50
51.0, 1.790, 42

a b c (Å): 7.1357 12.9133 7.5001
angles (deg): 90.00 90.00 90.00
Space group Cmce (No. 64)
Unique sites:
Ac  0.0000  0.1980  0.1128 [8 per cell]
Dy  0.2500  0.0375  0.7500 [8 per cell]
Fe  0.0000  0.0841  0.4603 [8 per cell]